Computed X-ray diffraction stick pattern
Compound: Na2Y2P2SO12
Radiation: CuKα
Structure: a DFT-relaxed cell (GGA-PBE, the Materials Project)
Lines closer than 0.1° are merged.

Atomic structure:
Cell lengths 9.2507, 9.2507, 9.5214 Å; angles 118.63, 118.63, 60.16 degrees
Fractional coordinates of all 38 atoms:
Na 0.0591 0.9409 0.5000
Na 0.3357 0.8275 0.2428
Na 0.8275 0.3357 0.7428
Na 0.9409 0.0591 0.0000
Y 0.1587 0.6563 0.7904
Y 0.4657 0.9641 0.6890
Y 0.6563 0.1587 0.2904
Y 0.9641 0.4657 0.1890
P 0.0608 0.2572 0.4816
P 0.2572 0.0608 0.9816
P 0.7697 0.8627 0.4953
P 0.8627 0.7697 0.9953
S 0.3620 0.5659 0.4927
S 0.5659 0.3620 0.9927
O 0.0242 0.2824 0.3164
O 0.0313 0.7547 0.9811
O 0.0817 0.2185 0.9953
O 0.1016 0.4142 0.6363
O 0.2097 0.5349 0.3416
O 0.2185 0.0817 0.4953
O 0.2375 0.9011 0.9784
O 0.2824 0.0242 0.8164
O 0.3326 0.5961 0.6454
O 0.3730 0.7264 0.5026
O 0.4142 0.1016 0.1363
O 0.4165 0.5266 0.9785
O 0.5266 0.4165 0.4785
O 0.5349 0.2097 0.8416
O 0.5961 0.3326 0.1454
O 0.5963 0.8873 0.5042
O 0.7037 0.8125 0.8416
O 0.7264 0.3730 0.0026
O 0.7547 0.0313 0.4811
O 0.8125 0.7037 0.3416
O 0.8361 0.9275 0.1575
O 0.8873 0.5963 0.0042
O 0.9011 0.2375 0.4784
O 0.9275 0.8361 0.6575

Principal peaks in the range 10 to 90 degrees two-theta, in order of rising 2θ:
2θ/deg  I (rel.)
13.32  34.8
18.54  47.1
18.66  34.8
19.18  80.5
22.20  68.1
22.32  31.2
26.86  31.8
29.62  100.0
29.78  53.8
33.53  67.5